No. 1
# MgPaB12
Computed X-ray diffraction stick pattern, Cu Kα. Input: DFT lattice parameters and positions (GGA-PBE).

Structure:
Unit cell a=4.072 b=4.072 c=8.241 alpha=90.00 beta=90.00 gamma=90.00
Space group P4/mmm (No. 123)
One atom of each set of equivalent atoms:
Mg 0.000 0.000 0.000 [1 per cell]
Pa 0.000 0.000 0.500 [1 per cell]
B 0.198 0.500 0.251 [8 per cell]
B 0.500 0.500 0.100 [2 per cell]
B 0.500 0.500 0.402 [2 per cell]

Peak list (10 most intense, 2θ from 10° to 90°, sorted by position)
| 2θ (°) | d (Å) | Rel. int. |
| --- | --- | --- |
| 10.74 | 8.241 | 100.0 |
| 21.57 | 4.120 | 18.8 |
| 21.83 | 4.072 | 36.7 |
| 24.38 | 3.651 | 64.7 |
| 30.87 | 2.896 | 63.6 |
| 31.06 | 2.879 | 31.3 |
| 32.95 | 2.718 | 30.8 |
| 38.13 | 2.360 | 41.4 |
| 39.57 | 2.277 | 19.0 |
| 51.39 | 1.778 | 18.4 |

=====

No. 2
# RbCaHg14
Computed X-ray diffraction stick pattern, Cu Kα. Input: DFT lattice parameters and positions (GGA-PBE).

Structure:
Unit cell a=10.385 b=10.922 c=17.071 alpha=90.00 beta=90.00 gamma=90.00
Space group Imma (No. 74)
One atom of each set of equivalent atoms:
Rb 0.000 0.250 0.097 [4 per cell]
Ca 0.250 0.250 0.750 [4 per cell]
Hg 0.000 0.098 0.836 [8 per cell]
Hg 0.000 0.112 0.658 [8 per cell]
Hg 0.000 0.122 0.466 [8 per cell]
Hg 0.194 0.109 0.329 [16 per cell]
Hg 0.230 0.109 0.943 [16 per cell]

Peak list (10 most intense, 2θ from 10° to 90°, sorted by position)
| 2θ (°) | d (Å) | Rel. int. |
| --- | --- | --- |
| 19.63 | 4.522 | 25.6 |
| 24.60 | 3.619 | 31.2 |
| 30.22 | 2.957 | 35.2 |
| 30.44 | 2.937 | 38.4 |
| 32.44 | 2.760 | 100.0 |
| 32.80 | 2.730 | 60.3 |
| 34.54 | 2.597 | 44.5 |
| 40.16 | 2.245 | 95.2 |
| 48.38 | 1.882 | 21.0 |
| 68.55 | 1.369 | 28.8 |

=====

No. 3
# AcPr2PdO5
Computed X-ray diffraction stick pattern, Cu Kα. Input: DFT lattice parameters and positions (GGA-PBE).

Structure:
Unit cell a=6.748 b=6.748 c=6.083 alpha=90.00 beta=90.00 gamma=90.00
Space group P4/mbm (No. 127)
One atom of each set of equivalent atoms:
Ac 0.000 0.000 0.000 [2 per cell]
Pr 0.165 0.335 0.500 [4 per cell]
Pd 0.000 0.500 0.000 [2 per cell]
O 0.000 0.000 0.500 [2 per cell]
O 0.161 0.661 0.244 [8 per cell]

Peak list (10 most intense, 2θ from 10° to 90°, sorted by position)
| 2θ (°) | d (Å) | Rel. int. |
| --- | --- | --- |
| 23.70 | 3.754 | 24.5 |
| 29.37 | 3.041 | 42.3 |
| 30.29 | 2.950 | 100.0 |
| 33.14 | 2.703 | 36.5 |
| 37.70 | 2.386 | 25.0 |
| 42.18 | 2.142 | 27.6 |
| 42.36 | 2.134 | 18.8 |
| 48.50 | 1.877 | 21.8 |
| 52.67 | 1.738 | 22.1 |
| 56.62 | 1.626 | 18.5 |

=====

No. 4
# Dy2Al9Pd3
Computed X-ray diffraction stick pattern, Cu Kα. Input: DFT lattice parameters and positions (GGA-PBE).

Structure:
Unit cell a=13.232 b=7.709 c=9.460 alpha=90.00 beta=90.00 gamma=90.00
Space group Cmcm (No. 63)
One atom of each set of equivalent atoms:
Dy 0.162 0.168 0.250 [8 per cell]
Al 0.000 0.130 0.750 [4 per cell]
Al 0.000 0.333 0.057 [8 per cell]
Al 0.104 0.443 0.750 [8 per cell]
Al 0.167 0.168 0.576 [16 per cell]
Pd 0.000 0.000 0.000 [4 per cell]
Pd 0.172 0.500 0.000 [8 per cell]

Peak list (10 most intense, 2θ from 10° to 90°, sorted by position)
| 2θ (°) | d (Å) | Rel. int. |
| --- | --- | --- |
| 16.28 | 5.446 | 30.7 |
| 25.09 | 3.549 | 53.6 |
| 29.90 | 2.988 | 52.7 |
| 30.03 | 2.976 | 100.0 |
| 36.83 | 2.441 | 34.1 |
| 36.93 | 2.434 | 67.6 |
| 38.05 | 2.365 | 42.0 |
| 40.64 | 2.220 | 90.9 |
| 40.92 | 2.205 | 43.5 |
| 56.88 | 1.619 | 38.8 |